Record 1
Starting from a crystal structure in Alexandria, relaxed with PBE, the XRD peak list of Ca3Ge4Au7 was calculated for CuKα.

Largest 10 diffraction maxima, in order of falling intensity, 10 to 80 degrees two-theta:
| 2theta | I/Imax |
| --- | --- |
| 34.0 | 1000 |
| 22.0 | 584 |
| 43.8 | 399 |
| 40.7 | 339 |
| 36.7 | 309 |
| 18.0 | 240 |
| 42.5 | 193 |
| 40.9 | 193 |
| 46.9 | 147 |
| 46.8 | 146 |

Crystal structure
```
14
Lattice="-2.2157 6.6269 4.9277 2.2157 -6.6269 4.9277 2.2157 6.6269 -4.9277" Properties=species:S:1:pos:R:3 pbc="T T T"
Ca 0.0000 0.0000 0.0000
Ca 2.2157 -2.4773 4.8702
Ca 2.2157 2.4773 4.8702
Ge 2.2157 2.4274 1.3808
Ge 2.2157 4.9208 2.2118
Ge 0.0000 1.7060 7.1395
Ge 0.0000 4.1994 6.3086
Au 2.2157 2.1289 -1.1604
Au 2.2157 4.8365 -2.4010
Au 2.2157 0.0000 2.9332
Au 0.0000 1.7904 2.5267
Au 0.0000 0.0000 4.8796
Au 0.0000 6.6269 1.8756
Au 0.0000 4.4980 3.7674
```

Record 2
Starting from a crystal structure in Alexandria, relaxed with PBE, the XRD peak list of Pu2SiS was calculated for CuKα.

Largest 10 diffraction maxima, in order of falling intensity, 10 to 80 degrees two-theta:
| 2theta | I/Imax |
| --- | --- |
| 31.8 | 1000 |
| 28.4 | 936 |
| 24.4 | 499 |
| 32.7 | 497 |
| 43.0 | 462 |
| 29.4 | 425 |
| 52.3 | 371 |
| 43.0 | 270 |
| 49.3 | 255 |
| 72.9 | 236 |

Crystal structure
```
8
Lattice="2.1042 -10.9547 0.0000 2.1042 10.9547 0.0000 0.0000 0.0000 3.8429" Properties=species:S:1:pos:R:3 pbc="T T T"
Pu 2.1042 9.5376 2.8822
Pu 2.1042 4.0318 2.8822
Pu 2.1042 -4.0318 0.9607
Pu 2.1042 -9.5376 0.9607
Si 2.1042 0.8083 2.8822
Si 2.1042 -0.8083 0.9607
S 2.1042 6.7774 2.8822
S 2.1042 -6.7774 0.9607
```

Record 3
Starting from a crystal structure in Alexandria, relaxed with PBE, the XRD peak list of LaGa4Ir3 was calculated for CuKα.

Largest 10 diffraction maxima, in order of falling intensity, 10 to 80 degrees two-theta:
| 2theta | I/Imax |
| --- | --- |
| 30.0 | 1000 |
| 42.6 | 945 |
| 44.4 | 849 |
| 23.5 | 648 |
| 48.5 | 503 |
| 29.8 | 414 |
| 53.0 | 413 |
| 66.5 | 394 |
| 31.7 | 389 |
| 36.9 | 386 |

Crystal structure
```
8
Lattice="4.2437 0.0000 0.0000 0.0000 4.2437 0.0000 0.0000 0.0000 8.3630" Properties=species:S:1:pos:R:3 pbc="T T T"
La 0.0000 0.0000 0.0000
Ga 0.0000 2.1219 2.7289
Ga 0.0000 2.1219 5.6341
Ga 2.1219 0.0000 2.7289
Ga 2.1219 0.0000 5.6341
Ir 0.0000 0.0000 4.1815
Ir 2.1219 2.1219 1.2719
Ir 2.1219 2.1219 7.0911
```

Record 4
Starting from a crystal structure in Alexandria, relaxed with PBE, the XRD peak list of Ca2Cd6InCu was calculated for CuKα.

Largest 10 diffraction maxima, in order of falling intensity, 10 to 80 degrees two-theta:
| 2theta | I/Imax |
| --- | --- |
| 34.0 | 1000 |
| 39.3 | 781 |
| 14.7 | 586 |
| 19.0 | 557 |
| 40.2 | 532 |
| 31.8 | 457 |
| 51.8 | 365 |
| 30.8 | 353 |
| 35.3 | 346 |
| 50.1 | 285 |

Crystal structure
```
20
Lattice="3.5301 2.0381 12.1041 -3.5301 2.0381 12.1041 0.0000 -4.0762 12.1041" Properties=species:S:1:pos:R:3 pbc="T T T"
Ca 0.0000 0.0000 3.7749
Ca 0.0000 0.0000 10.1127
Ca 0.0000 0.0000 26.1996
Ca 0.0000 0.0000 32.5373
Cd -2.1014 -1.2132 17.1577
Cd 0.0000 -1.7470 13.1465
Cd -1.5129 0.8735 13.1465
Cd 0.0000 -2.4265 19.1545
Cd -2.1014 1.2132 19.1545
Cd -1.5129 -0.8735 23.1657
Cd 1.5129 0.8735 13.1465
Cd 2.1014 -1.2132 17.1577
Cd 0.0000 2.4265 17.1577
Cd 1.5129 -0.8735 23.1657
Cd 0.0000 1.7470 23.1657
Cd 2.1014 1.2132 19.1545
In 0.0000 0.0000 15.4762
In 0.0000 0.0000 20.8361
Cu 0.0000 0.0000 0.0000
Cu 0.0000 0.0000 18.1561
```

Record 5
Starting from a crystal structure in Alexandria, relaxed with PBE, the XRD peak list of Cs2OsO4F2 was calculated for CuKα.

Largest 10 diffraction maxima, in order of falling intensity, 10 to 80 degrees two-theta:
| 2theta | I/Imax |
| --- | --- |
| 27.5 | 1000 |
| 16.6 | 929 |
| 26.6 | 595 |
| 47.6 | 397 |
| 38.0 | 332 |
| 31.5 | 248 |
| 49.2 | 215 |
| 56.8 | 192 |
| 40.6 | 147 |
| 76.8 | 138 |

Crystal structure
```
9
Lattice="-3.3498 3.3498 4.4391 3.3498 -3.3498 4.4391 3.3498 3.3498 -4.4391" Properties=species:S:1:pos:R:3 pbc="T T T"
Cs 3.3498 0.0000 2.2195
Cs 0.0000 3.3498 2.2195
Os 0.0000 0.0000 0.0000
O 1.2831 1.2831 0.0000
O 2.0667 -2.0667 4.4391
O -2.0667 2.0667 4.4391
O 2.0667 2.0667 4.4391
F 0.0000 0.0000 1.9784
F 0.0000 0.0000 6.8998
```

Record 6
Starting from a crystal structure in Alexandria, relaxed with PBE, the XRD peak list of CsTl6Sn2 was calculated for CuKα.

Largest 10 diffraction maxima, in order of falling intensity, 10 to 80 degrees two-theta:
| 2theta | I/Imax |
| --- | --- |
| 28.8 | 1000 |
| 33.4 | 635 |
| 34.3 | 585 |
| 56.9 | 303 |
| 60.3 | 239 |
| 48.0 | 234 |
| 54.5 | 178 |
| 80.0 | 109 |
| 65.5 | 103 |
| 41.8 | 95 |

Crystal structure
```
9
Lattice="5.3653 0.0000 0.0000 0.0000 5.3653 0.0000 0.0000 0.0000 10.8073" Properties=species:S:1:pos:R:3 pbc="T T T"
Cs 0.0000 0.0000 0.0000
Tl 0.0000 0.0000 5.4036
Tl 0.0000 2.6826 3.2218
Tl 0.0000 2.6826 7.5855
Tl 2.6826 0.0000 3.2218
Tl 2.6826 0.0000 7.5855
Tl 2.6826 2.6826 5.4036
Sn 2.6826 2.6826 1.4832
Sn 2.6826 2.6826 9.3241
```

Record 7
Starting from a crystal structure in Alexandria, relaxed with PBE, the XRD peak list of CsSr2PuCl8 was calculated for CuKα.

Largest 10 diffraction maxima, in order of falling intensity, 10 to 80 degrees two-theta:
| 2theta | I/Imax |
| --- | --- |
| 23.2 | 1000 |
| 18.4 | 692 |
| 35.3 | 647 |
| 18.5 | 605 |
| 35.1 | 410 |
| 26.7 | 285 |
| 13.0 | 264 |
| 44.6 | 234 |
| 35.4 | 230 |
| 16.2 | 198 |

Crystal structure
```
12
Lattice="6.7761 0.0000 0.0000 0.0000 9.2995 0.0000 -0.0469 0.0000 6.8233" Properties=species:S:1:pos:R:3 pbc="T T T"
Cs 0.0000 0.0000 0.0000
Sr 3.3646 2.3257 3.4117
Sr 3.3646 6.9738 3.4117
Pu 0.0000 4.6497 0.0000
Cl 1.0764 2.7748 1.6387
Cl 1.0764 6.5246 1.6387
Cl 2.1356 4.6497 5.0297
Cl 2.6832 0.0000 4.9715
Cl 4.0459 0.0000 1.8518
Cl 4.5935 4.6497 1.7936
Cl 5.6528 2.7748 5.1846
Cl 5.6528 6.5246 5.1846
```

Record 8
Starting from a crystal structure in Alexandria, relaxed with PBE, the XRD peak list of DyAlNi4 was calculated for CuKα.

Largest 10 diffraction maxima, in order of falling intensity, 10 to 80 degrees two-theta:
| 2theta | I/Imax |
| --- | --- |
| 43.3 | 1000 |
| 42.5 | 811 |
| 36.7 | 551 |
| 30.7 | 497 |
| 45.1 | 439 |
| 30.4 | 388 |
| 41.9 | 345 |
| 59.5 | 261 |
| 22.1 | 251 |
| 69.5 | 234 |

Crystal structure
```
6
Lattice="2.5087 -4.2085 0.0000 2.5087 4.2085 0.0000 0.0000 0.0000 4.0225" Properties=species:S:1:pos:R:3 pbc="T T T"
Dy 0.0000 0.0000 0.0000
Al 2.5087 0.0000 2.0112
Ni 1.2544 2.1042 2.0112
Ni 2.5087 1.4066 0.0000
Ni 1.2544 -2.1042 2.0112
Ni 2.5087 -1.4066 0.0000
```

Record 9
Starting from a crystal structure in Alexandria, relaxed with PBE, the XRD peak list of CsGeCl5 was calculated for CuKα.

Largest 10 diffraction maxima, in order of falling intensity, 10 to 80 degrees two-theta:
| 2theta | I/Imax |
| --- | --- |
| 17.5 | 1000 |
| 15.9 | 903 |
| 28.0 | 580 |
| 36.2 | 358 |
| 23.3 | 334 |
| 15.2 | 333 |
| 47.3 | 326 |
| 29.8 | 315 |
| 32.1 | 296 |
| 30.8 | 278 |

Crystal structure
```
7
Lattice="-3.8152 5.5784 3.4030 3.8152 -5.5784 3.4030 3.8152 5.5784 -3.4030" Properties=species:S:1:pos:R:3 pbc="T T T"
Cs 0.0000 0.0000 0.0000
Ge 0.0000 5.5784 1.1163
Cl 0.0000 3.2777 1.0575
Cl 2.0112 5.5784 0.1619
Cl 1.8041 0.0000 3.5649
Cl 0.0000 7.8790 1.0575
Cl 0.0000 5.5784 3.3276
```

Record 10
Starting from a crystal structure in Alexandria, relaxed with PBE, the XRD peak list of EuBN2 was calculated for CuKα.

Largest 10 diffraction maxima, in order of falling intensity, 10 to 80 degrees two-theta:
| 2theta | I/Imax |
| --- | --- |
| 30.7 | 1000 |
| 33.5 | 916 |
| 14.7 | 677 |
| 29.7 | 432 |
| 50.5 | 386 |
| 25.9 | 362 |
| 56.4 | 283 |
| 63.9 | 249 |
| 41.4 | 225 |
| 60.9 | 220 |

Crystal structure
```
24
Lattice="6.0177 3.4743 2.3377 -6.0177 3.4743 2.3377 0.0000 -6.9486 2.3377" Properties=species:S:1:pos:R:3 pbc="T T T"
Eu -3.3101 1.2153 2.9221
Eu -2.7075 -2.2590 4.0909
Eu 0.6026 -3.4743 2.9221
Eu -0.6026 3.4743 4.0909
Eu 2.7075 2.2590 2.9221
Eu 3.3101 -1.2153 4.0909
B -0.7291 -1.2629 1.7533
B -0.7291 1.2629 1.7532
B 1.4583 0.0000 1.7532
B -1.4583 0.0000 5.2598
B 0.7291 -1.2629 5.2597
B 0.7291 1.2629 5.2597
N -1.4620 -2.5322 1.7533
N -1.4816 0.0000 1.7533
N 0.7408 -1.2831 1.7532
N -1.4620 2.5322 1.7532
N 0.7408 1.2831 1.7532
N 2.9239 0.0000 1.7532
N -2.9239 0.0000 5.2598
N -0.7408 -1.2831 5.2598
N 1.4620 -2.5322 5.2597
N -0.7408 1.2831 5.2597
N 1.4816 0.0000 5.2597
N 1.4620 2.5322 5.2597
```

Record 11
Starting from a crystal structure in Alexandria, relaxed with PBE, the XRD peak list of Nd4Tm3Sc2 was calculated for CuKα.

Largest 10 diffraction maxima, in order of falling intensity, 10 to 80 degrees two-theta:
| 2theta | I/Imax |
| --- | --- |
| 31.7 | 1000 |
| 32.4 | 935 |
| 31.8 | 552 |
| 32.0 | 436 |
| 63.2 | 314 |
| 57.3 | 287 |
| 57.5 | 211 |
| 45.8 | 180 |
| 45.8 | 178 |
| 46.2 | 166 |

Crystal structure
```
18
Lattice="8.3872 -4.7689 0.0000 8.3872 4.7689 0.0000 -0.0072 0.0000 6.9556" Properties=species:S:1:pos:R:3 pbc="T T T"
Nd 8.1062 3.1814 6.9542
Nd 5.6975 1.6887 3.4794
Nd 8.6574 3.1814 3.4792
Nd 11.0661 1.6887 6.9540
Nd 5.7011 -1.6887 0.0016
Nd 8.1098 -3.1814 3.4764
Nd 11.0697 -1.6887 3.4762
Nd 8.6610 -3.1814 0.0014
Tm 2.9472 -0.0013 1.7399
Tm 2.9436 0.0013 5.2177
Tm 8.3854 0.0010 1.7389
Tm 8.3818 -0.0010 5.2167
Tm 13.8236 -0.0013 1.7379
Tm 13.8200 0.0013 5.2157
Sc 5.4562 1.4963 0.0019
Sc 5.4527 -1.4963 3.4797
Sc 11.3146 1.4963 3.4758
Sc 11.3110 -1.4963 6.9536
```

Copy entry 7 word for word.
Starting from a crystal structure in Alexandria, relaxed with PBE, the XRD peak list of CsSr2PuCl8 was calculated for CuKα.

Largest 10 diffraction maxima, in order of falling intensity, 10 to 80 degrees two-theta:
| 2theta | I/Imax |
| --- | --- |
| 23.2 | 1000 |
| 18.4 | 692 |
| 35.3 | 647 |
| 18.5 | 605 |
| 35.1 | 410 |
| 26.7 | 285 |
| 13.0 | 264 |
| 44.6 | 234 |
| 35.4 | 230 |
| 16.2 | 198 |

Crystal structure
```
12
Lattice="6.7761 0.0000 0.0000 0.0000 9.2995 0.0000 -0.0469 0.0000 6.8233" Properties=species:S:1:pos:R:3 pbc="T T T"
Cs 0.0000 0.0000 0.0000
Sr 3.3646 2.3257 3.4117
Sr 3.3646 6.9738 3.4117
Pu 0.0000 4.6497 0.0000
Cl 1.0764 2.7748 1.6387
Cl 1.0764 6.5246 1.6387
Cl 2.1356 4.6497 5.0297
Cl 2.6832 0.0000 4.9715
Cl 4.0459 0.0000 1.8518
Cl 4.5935 4.6497 1.7936
Cl 5.6528 2.7748 5.1846
Cl 5.6528 6.5246 5.1846
```